Starting from a cell relaxed with PBE+U, the powder X-ray diffraction pattern of PuMoO4 was computed for Cu Kα X-rays.
Lines closer than 0.1° are merged.

Largest 10 diffraction maxima, by angle, 15° ≤ 2θ ≤ 90°:
d_spacing, I/Imax, index
4.886, 33, 1 1 0
3.455, 100, 2 0 0
2.805, 95, 1 1 1
2.443, 27, 2 2 0
2.434, 15, 0 2 1
1.842, 72, 3 1 1
1.546, 11, 2 4 0
1.534, 19, 2 0 2
1.471, 20, 3 3 1
1.147, 13, 2 4 2

Structure:
```
data_PuMoO4
_cell_length_a 6.902
_cell_length_b 6.919
_cell_length_c 3.425
_cell_angle_alpha 90.00
_cell_angle_beta 90.00
_cell_angle_gamma 90.00
_symmetry_space_group_name_H-M 'C m m m'
_symmetry_Int_Tables_number 65
_symmetry_space_group_name_Hall '-C 2 2'
loop_
_atom_site_label
_atom_site_type_symbol
_atom_site_fract_x
_atom_site_fract_y
_atom_site_fract_z
_atom_site_occupancy
Pu1 Pu 0.000 0.000 0.000 1
Mo1 Mo 0.000 0.500 0.500 1
O1 O 0.000 0.197 0.500 1
O2 O 0.189 0.500 0.000 1
```